Diffraction record for Sr3NiP2. The powder diffraction line list is calculated, not measured: it uses a crystal structure in Alexandria, relaxed with PBE and Cu Kα (λ = 1.5418 Å).
Lines closer than 0.1° are merged.

Atomic structure:
Cell: 11.8182 4.2609 12.1390 Å, 90.00 90.00 90.00°
Space group Pnma (No. 62)
Unique sites:
Sr  0.0632  0.2500  0.1231 [4 per cell]
Sr  0.1182  0.7500  0.5530 [4 per cell]
Sr  0.2047  0.2500  0.8061 [4 per cell]
Ni  0.1268  0.2500  0.3620 [4 per cell]
P  0.0384  0.7500  0.3163 [4 per cell]
P  0.2020  0.7500  0.9815 [4 per cell]

Top 10 peaks for 2θ = 10–90°, in order of rising 2θ:
- hkl 2 1 1, 3.324 Å, 26.82°, I = 26
- hkl 2 1 2, 3.003 Å, 29.75°, I = 40
- hkl 0 1 3, 2.936 Å, 30.45°, I = 100
- hkl 4 0 1, 2.871 Å, 31.16°, I = 29
- hkl 3 1 1, 2.814 Å, 31.80°, I = 24
- hkl 3 1 2, 2.611 Å, 34.34°, I = 51
- hkl 4 1 1, 2.381 Å, 37.79°, I = 23
- hkl 2 1 4, 2.280 Å, 39.52°, I = 28
- hkl 2 0 5, 2.246 Å, 40.16°, I = 23
- hkl 0 2 0, 2.130 Å, 42.43°, I = 38

Diffraction record for SrNi5P3. The powder diffraction line list is calculated, not measured: it uses a crystal structure in Alexandria, relaxed with PBE and Cu Kα (λ = 1.5418 Å).
Lines closer than 0.1° are merged.

Atomic structure:
Cell: 3.6171 11.7643 11.6208 Å, 90.00 90.00 90.00°
Space group Cmcm (No. 63)
Unique sites:
Sr  0.0000  0.1621  0.2500 [4 per cell]
Ni  0.0000  0.0000  0.0000 [4 per cell]
Ni  0.0000  0.1979  0.5680 [8 per cell]
Ni  0.0000  0.4498  0.1451 [8 per cell]
P  0.0000  0.1147  0.7500 [4 per cell]
P  0.0000  0.3815  0.5369 [8 per cell]

Top 10 peaks for 2θ = 10–90°, in order of rising 2θ:
- hkl 0 2 3, 3.235 Å, 27.57°, I = 36
- hkl 0 4 1, 2.851 Å, 31.37°, I = 29
- hkl 1 3 0, 2.659 Å, 33.71°, I = 56
- hkl 1 1 3, 2.579 Å, 34.78°, I = 100
- hkl 1 3 2, 2.418 Å, 37.19°, I = 56
- hkl 1 1 4, 2.224 Å, 40.56°, I = 84
- hkl 1 5 0, 1.972 Å, 46.02°, I = 41
- hkl 1 5 2, 1.868 Å, 48.76°, I = 39
- hkl 0 2 6, 1.840 Å, 49.55°, I = 35
- hkl 2 0 0, 1.809 Å, 50.46°, I = 62

Diffraction record for Sr3Ni2P3. The powder diffraction line list is calculated, not measured: it uses a crystal structure in Alexandria, relaxed with PBE and Cu Kα (λ = 1.5418 Å).
Lines closer than 0.1° are merged.

Atomic structure:
Cell: 4.0454 11.0523 15.2341 Å, 90.00 90.00 90.00°
Space group Cmcm (No. 63)
Unique sites:
Sr  0.0000  0.0387  0.2500 [4 per cell]
Sr  0.0000  0.3421  0.0939 [8 per cell]
Ni  0.0000  0.3739  0.6180 [8 per cell]
P  0.0000  0.0701  0.0569 [8 per cell]
P  0.0000  0.2583  0.7500 [4 per cell]

Top 10 peaks for 2θ = 10–90°, in order of rising 2θ:
- hkl 1 1 2, 3.400 Å, 26.21°, I = 17
- hkl 1 1 3, 3.042 Å, 29.36°, I = 20
- hkl 1 3 0, 2.723 Å, 32.89°, I = 100
- hkl 1 1 4, 2.690 Å, 33.31°, I = 81
- hkl 0 0 6, 2.539 Å, 35.35°, I = 33
- hkl 0 4 4, 2.236 Å, 40.33°, I = 32
- hkl 1 3 5, 2.031 Å, 44.62°, I = 22
- hkl 2 0 0, 2.023 Å, 44.81°, I = 32
- hkl 1 3 6, 1.857 Å, 49.05°, I = 29
- hkl 2 4 4, 1.500 Å, 61.85°, I = 17

Diffraction record for SrYNi2P2. The powder diffraction line list is calculated, not measured: it uses a crystal structure in Alexandria, relaxed with PBE and Cu Kα (λ = 1.5418 Å).
Lines closer than 0.1° are merged.

Atomic structure:
Cell: 3.9276 3.9276 8.3196 Å, 90.00 90.00 120.00°
Space group P-3m1 (No. 164)
Unique sites:
Sr  0.0000  0.0000  0.0000 [1 per cell]
Y  0.0000  0.0000  0.5000 [1 per cell]
Ni  0.3333  0.6667  0.7293 [2 per cell]
P  0.3333  0.6667  0.2700 [2 per cell]

Top 10 peaks for 2θ = 10–90°, in order of rising 2θ:
- hkl 1 0 0, 3.401 Å, 26.20°, I = 9
- hkl 1 0 1, 3.148 Å, 28.35°, I = 8
- hkl 0 1 2, 2.633 Å, 34.05°, I = 100
- hkl 0 0 4, 2.080 Å, 43.51°, I = 13
- hkl 1 1 0, 1.964 Å, 46.23°, I = 38
- hkl 2 0 2, 1.574 Å, 58.64°, I = 20
- hkl 1 1 4, 1.428 Å, 65.35°, I = 23
- hkl 0 1 6, 1.284 Å, 73.80°, I = 8
- hkl 1 2 2, 1.228 Å, 77.75°, I = 17
- hkl 3 0 0, 1.134 Å, 85.68°, I = 6

Diffraction record for ThTaNi2P2. The powder diffraction line list is calculated, not measured: it uses a crystal structure in Alexandria, relaxed with PBE and Cu Kα (λ = 1.5418 Å).
Lines closer than 0.1° are merged.

Atomic structure:
Cell: 3.8191 3.8191 7.5243 Å, 90.00 90.00 120.00°
Space group P-3m1 (No. 164)
Unique sites:
Th  0.0000  0.0000  0.0000 [1 per cell]
Ta  0.0000  0.0000  0.5000 [1 per cell]
Ni  0.3333  0.6667  0.7101 [2 per cell]
P  0.3333  0.6667  0.2749 [2 per cell]

Top 10 peaks for 2θ = 10–90°, in order of rising 2θ:
- hkl 0 0 2, 3.762 Å, 23.65°, I = 10
- hkl 1 0 0, 3.307 Å, 26.96°, I = 41
- hkl 0 1 2, 2.484 Å, 36.16°, I = 100
- hkl 1 1 0, 1.910 Å, 47.62°, I = 34
- hkl 0 0 4, 1.881 Å, 48.39°, I = 8
- hkl 1 1 2, 1.703 Å, 53.84°, I = 8
- hkl 1 0 4, 1.635 Å, 56.26°, I = 15
- hkl 2 0 2, 1.514 Å, 61.22°, I = 22
- hkl 1 1 4, 1.340 Å, 70.24°, I = 16
- hkl 1 2 2, 1.186 Å, 81.06°, I = 20

Diffraction record for Tb3Ni4P4. The powder diffraction line list is calculated, not measured: it uses a crystal structure in Alexandria, relaxed with PBE and Cu Kα (λ = 1.5418 Å).
Lines closer than 0.1° are merged.

Atomic structure:
Cell: 3.8775 3.9001 22.8675 Å, 90.00 90.00 90.00°
Space group Immm (No. 71)
Unique sites:
Tb  0.0000  0.0000  0.0000 [2 per cell]
Tb  0.0000  0.5000  0.3505 [4 per cell]
Ni  0.0000  0.0000  0.2503 [4 per cell]
Ni  0.0000  0.5000  0.0957 [4 per cell]
P  0.0000  0.0000  0.4484 [4 per cell]
P  0.0000  0.5000  0.1938 [4 per cell]

Top 10 peaks for 2θ = 10–90°, in order of rising 2θ:
- hkl 1 0 3, 3.456 Å, 25.78°, I = 32
- hkl 0 1 7, 2.504 Å, 35.87°, I = 49
- hkl 1 1 4, 2.478 Å, 36.25°, I = 100
- hkl 1 0 9, 2.125 Å, 42.54°, I = 17
- hkl 0 2 0, 1.950 Å, 46.57°, I = 21
- hkl 2 0 0, 1.939 Å, 46.86°, I = 21
- hkl 1 0 11, 1.832 Å, 49.77°, I = 16
- hkl 0 1 13, 1.604 Å, 57.46°, I = 12
- hkl 2 1 7, 1.533 Å, 60.38°, I = 19
- hkl 2 2 0, 1.375 Å, 68.21°, I = 13

Diffraction record for Tc3Ni2P4. The powder diffraction line list is calculated, not measured: it uses a crystal structure in Alexandria, relaxed with PBE and Cu Kα (λ = 1.5418 Å).
Lines closer than 0.1° are merged.

Atomic structure:
Cell: 5.8109 13.2884 3.1621 Å, 90.00 90.00 90.00°
Space group Pnnm (No. 58)
Unique sites:
Tc  0.0000  0.0000  0.0000 [2 per cell]
Tc  0.2127  0.3130  0.5000 [4 per cell]
Ni  0.1710  0.6110  0.0000 [4 per cell]
P  0.1056  0.1814  0.0000 [4 per cell]
P  0.1946  0.4470  0.0000 [4 per cell]

Top 10 peaks for 2θ = 10–90°, in order of rising 2θ:
- hkl 1 3 0, 3.523 Å, 25.28°, I = 22
- hkl 1 0 1, 2.777 Å, 32.23°, I = 30
- hkl 1 1 1, 2.719 Å, 32.95°, I = 66
- hkl 2 2 0, 2.662 Å, 33.67°, I = 22
- hkl 1 2 1, 2.563 Å, 35.02°, I = 23
- hkl 1 6 0, 2.070 Å, 43.74°, I = 26
- hkl 0 5 1, 2.035 Å, 44.52°, I = 100
- hkl 2 3 1, 1.927 Å, 47.18°, I = 34
- hkl 3 1 0, 1.918 Å, 47.40°, I = 37
- hkl 0 0 2, 1.581 Å, 58.37°, I = 23

Diffraction record for TcNiP4. The powder diffraction line list is calculated, not measured: it uses a crystal structure in Alexandria, relaxed with PBE and Cu Kα (λ = 1.5418 Å).
Lines closer than 0.1° are merged.

Atomic structure:
Cell: 6.8590 6.8590 6.8590 Å, 90.00 90.00 90.00°
Space group F-43m (No. 216)
Unique sites:
Tc  0.0000  0.0000  0.0000 [4 per cell]
Ni  0.2500  0.2500  0.7500 [4 per cell]
P  0.1250  0.1250  0.3750 [16 per cell]

Top 10 peaks for 2θ = 10–90°, in order of rising 2θ:
- hkl 1 1 1, 3.960 Å, 22.45°, I = 21
- hkl 2 0 0, 3.430 Å, 25.98°, I = 4
- hkl 2 2 0, 2.425 Å, 37.07°, I = 70
- hkl 3 1 1, 2.068 Å, 43.77°, I = 100
- hkl 2 2 2, 1.980 Å, 45.83°, I = 14
- hkl 3 3 1, 1.574 Å, 58.67°, I = 5
- hkl 4 2 2, 1.400 Å, 66.82°, I = 23
- hkl 5 1 1, 1.320 Å, 71.47°, I = 29
- hkl 4 4 0, 1.213 Å, 78.96°, I = 21
- hkl 5 3 1, 1.159 Å, 83.35°, I = 3

Diffraction record for VTcNiP2. The powder diffraction line list is calculated, not measured: it uses a crystal structure in Alexandria, relaxed with PBE and Cu Kα (λ = 1.5418 Å).
Lines closer than 0.1° are merged.

Atomic structure:
Cell: 3.1615 3.1683 6.6019 Å, 90.00 90.00 90.00°
Space group Pmm2 (No. 25)
Unique sites:
V  0.0000  0.0000  0.0000 [1 per cell]
Tc  0.5000  0.5000  0.2763 [1 per cell]
Ni  0.5000  0.0000  0.6461 [1 per cell]
P  0.0000  0.0000  0.4203 [1 per cell]
P  0.5000  0.5000  0.8789 [1 per cell]

Top 10 peaks for 2θ = 10–90°, in order of rising 2θ:
- hkl 0 0 1, 6.602 Å, 13.41°, I = 20
- hkl 1 0 0, 3.162 Å, 28.23°, I = 27
- hkl 0 1 1, 2.855 Å, 31.33°, I = 52
- hkl 1 0 2, 2.284 Å, 39.44°, I = 100
- hkl 1 1 0, 2.238 Å, 40.30°, I = 32
- hkl 0 0 3, 2.201 Å, 41.01°, I = 21
- hkl 1 1 1, 2.119 Å, 42.66°, I = 65
- hkl 1 1 2, 1.852 Å, 49.19°, I = 38
- hkl 1 0 3, 1.807 Å, 50.52°, I = 37
- hkl 1 2 2, 1.301 Å, 72.69°, I = 30

Diffraction record for VTcNiP2. The powder diffraction line list is calculated, not measured: it uses a crystal structure in Alexandria, relaxed with PBE and Cu Kα (λ = 1.5418 Å).
Lines closer than 0.1° are merged.

Atomic structure:
Cell: 7.9021 3.5854 4.8367 Å, 90.00 97.07 90.00°
Space group Cm (No. 8)
Unique sites:
V  0.0000  0.0000  0.0000 [2 per cell]
Tc  0.1281  0.5000  0.5545 [2 per cell]
Ni  0.3147  0.0000  0.2677 [2 per cell]
P  0.1963  0.5000  0.0405 [2 per cell]
P  0.4359  0.5000  0.5091 [2 per cell]

Top 10 peaks for 2θ = 10–90°, in order of rising 2θ:
- hkl 0 0 1, 4.800 Å, 18.48°, I = 30
- hkl 2 0 1, 2.869 Å, 31.18°, I = 35
- hkl 1 1 -1, 2.764 Å, 32.39°, I = 100
- hkl 0 0 2, 2.400 Å, 37.47°, I = 23
- hkl 2 0 -2, 2.169 Å, 41.63°, I = 39
- hkl 3 1 0, 2.112 Å, 42.81°, I = 98
- hkl 4 0 -1, 1.899 Å, 47.91°, I = 27
- hkl 1 1 2, 1.887 Å, 48.22°, I = 56
- hkl 3 1 1, 1.866 Å, 48.80°, I = 25
- hkl 0 2 0, 1.793 Å, 50.94°, I = 36

Diffraction record for VTcNiP2. The powder diffraction line list is calculated, not measured: it uses a crystal structure in Alexandria, relaxed with PBE and Cu Kα (λ = 1.5418 Å).
Lines closer than 0.1° are merged.

Atomic structure:
Cell: 3.7178 3.7178 17.4802 Å, 90.00 90.00 120.00°
Space group R3m (No. 160, hexagonal axes)
Unique sites:
V  0.0000  0.0000  0.0000 [3 per cell]
Tc  0.0000  0.0000  0.5502 [3 per cell]
Ni  0.0000  0.0000  0.7703 [3 per cell]
P  0.0000  0.0000  0.2551 [3 per cell]
P  0.0000  0.0000  0.4149 [3 per cell]

Top 10 peaks for 2θ = 10–90°, in order of rising 2θ:
- hkl 1 0 1, 3.166 Å, 28.18°, I = 33
- hkl 1 0 4, 2.592 Å, 34.60°, I = 100
- hkl 0 1 5, 2.368 Å, 37.99°, I = 55
- hkl 1 0 7, 1.973 Å, 45.99°, I = 20
- hkl 0 0 9, 1.942 Å, 46.77°, I = 17
- hkl 1 1 0, 1.859 Å, 49.00°, I = 79
- hkl 0 1 8, 1.808 Å, 50.48°, I = 21
- hkl 0 2 4, 1.511 Å, 61.37°, I = 17
- hkl 1 1 9, 1.343 Å, 70.07°, I = 27
- hkl 2 1 4, 1.172 Å, 82.23°, I = 14

Diffraction record for Th2Ni6P3. The powder diffraction line list is calculated, not measured: it uses a crystal structure in Alexandria, relaxed with PBE and Cu Kα (λ = 1.5418 Å).
Lines closer than 0.1° are merged.

Atomic structure:
Cell: 6.9454 6.9454 3.9850 Å, 90.00 90.00 120.00°
Space group P-62m (No. 189)
Unique sites:
Th  0.3333  0.6667  0.0000 [2 per cell]
Ni  0.0000  0.2005  0.0000 [3 per cell]
Ni  0.0000  0.6885  0.5000 [3 per cell]
P  0.0000  0.3502  0.5000 [3 per cell]

Top 10 peaks for 2θ = 10–90°, in order of rising 2θ:
- hkl 0 0 1, 3.985 Å, 22.31°, I = 16
- hkl 1 1 0, 3.473 Å, 25.65°, I = 24
- hkl 2 0 0, 3.007 Å, 29.71°, I = 16
- hkl 1 1 1, 2.618 Å, 34.25°, I = 100
- hkl 2 1 0, 2.273 Å, 39.64°, I = 20
- hkl 3 0 0, 2.005 Å, 45.23°, I = 29
- hkl 0 0 2, 1.992 Å, 45.53°, I = 18
- hkl 2 1 1, 1.975 Å, 45.96°, I = 31
- hkl 3 0 2, 1.413 Å, 66.11°, I = 19
- hkl 4 1 1, 1.247 Å, 76.40°, I = 25